[1]
Diffraction record for YMg2Ni2. The X-ray powder pattern is simulated, not measured: it uses a cell relaxed with GGA-PBE and Cu Kα.

Peak list (12 most intense, 15 to 90 degrees two-theta, in order of rising 2θ)
- (0 0 2), 2θ 15.3, rel. 38.0
- (1 1 0), 2θ 31.6, rel. 57.2
- (1 0 3), 2θ 32.2, rel. 61.9
- (1 1 2), 2θ 35.3, rel. 100.0
- (1 0 5), 2θ 45.2, rel. 69.9
- (2 0 0), 2θ 45.4, rel. 52.7
- (2 1 3), 2θ 56.7, rel. 23.3
- (1 0 7), 2θ 60.5, rel. 11.0
- (2 1 5), 2θ 66.0, rel. 42.3
- (2 2 0), 2θ 66.1, rel. 16.0
- (3 1 2), 2θ 77.2, rel. 18.5
- (3 0 5), 2θ 83.7, rel. 10.5

Structural model:
a b c (Å): 3.9991 3.9991 11.5906
angles (deg): 90.00 90.00 90.00
Atoms (fractional coordinates):
Y  0.0000  0.0000  0.0000
Y  0.5000  0.5000  0.5000
Mg  0.0000  0.5000  0.2500
Mg  0.0000  0.5000  0.7500
Mg  0.5000  0.0000  0.2500
Mg  0.5000  0.0000  0.7500
Ni  0.0000  0.0000  0.4013
Ni  0.0000  0.0000  0.5987
Ni  0.5000  0.5000  0.0987
Ni  0.5000  0.5000  0.9013

[2]
Diffraction record for CaTl4Pd4. The X-ray powder pattern is simulated, not measured: it uses a cell relaxed with GGA-PBE and Cu Kα.

Peak list (12 most intense, 15 to 90 degrees two-theta, in order of rising 2θ)
- (2 0 0), 2θ 19.8, rel. 20.5
- (2 1 1), 2θ 27.5, rel. 23.9
- (1 3 0), 2θ 31.5, rel. 100.0
- (1 0 2), 2θ 34.0, rel. 55.4
- (1 2 2), 2θ 39.6, rel. 28.1
- (3 0 2), 2θ 44.6, rel. 43.5
- (4 2 0), 2θ 45.1, rel. 33.6
- (3 2 2), 2θ 49.3, rel. 25.1
- (1 4 2), 2θ 53.6, rel. 26.9
- (4 3 2), 2θ 61.6, rel. 18.8
- (1 6 2), 2θ 72.6, rel. 16.8
- (7 2 2), 2θ 86.3, rel. 14.1

Structural model:
a b c (Å): 8.9862 8.9862 5.5213
angles (deg): 90.00 90.00 90.00
Atoms (fractional coordinates):
Ca  0.2500  0.2500  0.2500
Ca  0.7500  0.7500  0.7500
Tl  0.0759  0.6433  0.1517
Tl  0.1433  0.9241  0.6517
Tl  0.3567  0.5759  0.6517
Tl  0.4241  0.8567  0.1517
Tl  0.5759  0.1433  0.8483
Tl  0.6433  0.4241  0.3483
Tl  0.8567  0.0759  0.3483
Tl  0.9241  0.3567  0.8483
Pd  0.0489  0.6163  0.6506
Pd  0.1163  0.9511  0.1506
Pd  0.3837  0.5489  0.1506
Pd  0.4511  0.8837  0.6506
Pd  0.5489  0.1163  0.3494
Pd  0.6163  0.4511  0.8494
Pd  0.8837  0.0489  0.8494
Pd  0.9511  0.3837  0.3494